For Zn7GeN6, a cell relaxed with GGA-PBE gives the computed powder X-ray diffraction pattern in this record (Cu Kα, 1.54184 Å).
No peak broadening, texture or thermal motion is included.

Most intense lines, 2θ = 10–90°, by angle:
two_theta, d_spacing, I (rel.), (hkl)
29.80, 2.998, 83, 1 0 4
33.30, 2.690, 91, 2 0 4
33.95, 2.641, 73, 4 0 0
34.36, 2.610, 36, 0 2 2
36.32, 2.473, 100, 2 2 1
36.90, 2.436, 46, 3 1 3
38.05, 2.365, 43, 0 2 3
38.48, 2.339, 41, 2 2 2

Structure:
```
data_Zn7GeN6
_chemical_formula_sum 'Zn28 Ge4 N24'
_cell_length_a 10.562
_cell_length_b 5.745
_cell_length_c 12.505
_cell_angle_alpha 90.00
_cell_angle_beta 90.00
_cell_angle_gamma 90.00
_symmetry_space_group_name_H-M 'P b c n'
_symmetry_Int_Tables_number 60
loop_
_symmetry_equiv_pos_as_xyz
'x,y,z'
'-x,-y,-z'
'-x+1/2,-y+1/2,z+1/2'
'x+1/2,y+1/2,-z+1/2'
'x+1/2,-y+1/2,-z'
'-x+1/2,y+1/2,z'
'-x,y,-z+1/2'
'x,-y,z+1/2'
loop_
_atom_site_label
_atom_site_fract_x
_atom_site_fract_y
_atom_site_fract_z
_atom_site_occupancy
Zn1 0.000 0.078 0.250 1
Zn2 0.030 0.254 0.042 1
Zn3 0.206 0.181 0.574 1
Zn4 0.240 0.152 0.844 1
Ge1 0.000 0.413 0.750 1
N1 0.070 0.363 0.345 1
N2 0.128 0.194 0.716 1
N3 0.176 0.111 0.991 1
```